Record 1
This entry pairs a crystal structure of Li5V6O5F19 with its simulated X-ray powder pattern. Radiation: Cu Kα, 1.54184 Å. Structure: a structure optimized by DFT (PBE+U).

Peak list (12 most intense, 2θ = 10–90°, in order of rising 2θ)
2θ (°), I_rel
16.12, 100
25.25, 91
25.42, 35
32.57, 10
33.46, 12
39.60, 16
47.96, 13
48.89, 8
49.16, 9
49.74, 10
51.81, 8
55.04, 8

Crystal structure
Lattice parameters (Å, degrees): 5.161 5.356 16.695 81.17 89.68 89.70
Positions (direct):
Li 0.000 0.000 0.000
Li 0.001 0.665 0.667
Li 0.411 0.498 0.000
Li 0.413 0.165 0.666
Li 0.749 0.163 0.296
V 0.457 0.373 0.453
V 0.476 0.010 0.121
V 0.477 0.676 0.789
V 0.931 0.892 0.453
V 0.933 0.176 0.789
V 0.935 0.510 0.120
O 0.651 0.433 0.759
O 0.651 0.766 0.093
O 0.671 0.096 0.434
O 0.759 0.933 0.760
O 0.762 0.265 0.092
F 0.032 0.953 0.345
F 0.080 0.644 0.013
F 0.083 0.307 0.682
F 0.145 0.832 0.144
F 0.148 0.497 0.812
F 0.166 0.153 0.483
F 0.249 0.664 0.472
F 0.262 0.996 0.813
F 0.268 0.337 0.142
F 0.330 0.811 0.682
F 0.331 0.141 0.015
F 0.380 0.425 0.349
F 0.536 0.320 0.562
F 0.547 0.639 0.899
F 0.547 0.987 0.232
F 0.761 0.583 0.431
F 0.861 0.458 0.232
F 0.864 0.143 0.900
F 0.875 0.791 0.566

=====

Record 2
This entry pairs a crystal structure of Li2VO2F with its simulated X-ray powder pattern. Radiation: Cu Kα, 1.54184 Å. Structure: a structure optimized by DFT (PBE+U).

Peak list (12 most intense, 2θ = 10–90°, in order of rising 2θ)
2θ (°), I_rel
15.91, 40
19.89, 40
20.19, 100
23.76, 44
26.47, 53
30.83, 88
41.05, 93
43.90, 83
44.42, 77
61.69, 65
62.40, 23
64.23, 42

Crystal structure
Lattice parameters (Å, degrees): 4.125 5.251 6.027 69.44 89.96 66.88
Positions (direct):
Li 0.000 0.000 0.000
Li 0.021 0.959 0.456
Li 0.328 0.343 0.639
Li 0.671 0.659 0.325
V 0.324 0.352 0.179
V 0.660 0.679 0.808
O 0.174 0.652 0.829
O 0.175 0.649 0.310
O 0.502 0.996 0.485
O 0.829 0.344 0.138
F 0.498 0.004 0.971
F 0.826 0.347 0.669

=====

Record 3
This entry pairs a crystal structure of Li7VO5F with its simulated X-ray powder pattern. Radiation: Cu Kα, 1.54184 Å. Structure: a structure optimized by DFT (PBE+U).

Peak list (12 most intense, 2θ = 10–90°, in order of rising 2θ)
2θ (°), I_rel
17.63, 71
19.79, 83
19.95, 34
22.17, 36
22.34, 42
30.41, 41
33.17, 100
37.68, 69
37.95, 17
49.15, 24
49.45, 25
49.63, 44

Crystal structure
Lattice parameters (Å, degrees): 5.378 5.403 5.913 117.09 90.36 119.26
Positions (direct):
Li 0.000 0.000 0.000
Li 0.012 0.213 0.311
Li 0.272 0.447 0.682
Li 0.310 0.615 0.042
Li 0.440 0.907 0.282
Li 0.761 0.562 0.300
Li 0.817 0.724 0.696
V 0.485 0.077 0.651
O 0.140 0.879 0.409
O 0.299 0.014 0.888
O 0.439 0.485 0.428
O 0.602 0.718 0.901
O 0.763 0.167 0.487
F 0.936 0.349 0.926

=====

Record 4
This entry pairs a crystal structure of Li2V2O5F2 with its simulated X-ray powder pattern. Radiation: Cu Kα, 1.54184 Å. Structure: a structure optimized by DFT (PBE+U).

Peak list (12 most intense, 2θ = 10–90°, in order of rising 2θ)
2θ (°), I_rel
16.53, 29
16.64, 40
17.01, 100
18.15, 20
21.14, 54
22.05, 39
23.89, 22
24.01, 42
27.73, 35
28.17, 19
33.69, 19
37.42, 23

Crystal structure
Lattice parameters (Å, degrees): 5.637 5.990 10.132 75.53 89.00 68.13
Positions (direct):
Li 0.076 0.189 0.105
Li 0.117 0.731 0.584
Li 0.883 0.269 0.416
Li 0.924 0.811 0.895
V 0.400 0.243 0.406
V 0.469 0.393 0.895
V 0.531 0.607 0.105
V 0.600 0.757 0.594
O 0.233 0.296 0.932
O 0.257 0.458 0.486
O 0.296 0.970 0.495
O 0.307 0.695 0.961
O 0.433 0.620 0.724
O 0.567 0.380 0.276
O 0.693 0.305 0.039
O 0.704 0.030 0.505
O 0.743 0.542 0.514
O 0.767 0.704 0.068
F 0.126 0.297 0.274
F 0.313 0.859 0.179
F 0.687 0.141 0.821
F 0.874 0.703 0.726

=====

Record 5
This entry pairs a crystal structure of Li2VO2F2 with its simulated X-ray powder pattern. Radiation: Cu Kα, 1.54184 Å. Structure: a structure optimized by DFT (PBE+U).

Peak list (12 most intense, 2θ = 10–90°, in order of rising 2θ)
2θ (°), I_rel
15.77, 21
19.29, 100
23.40, 19
34.31, 15
34.72, 16
38.85, 9
39.56, 9
40.53, 15
40.87, 14
51.54, 14
52.11, 14
63.38, 12

Crystal structure
Lattice parameters (Å, degrees): 5.046 11.239 5.164 90.00 91.23 90.00
Positions (direct):
Li 0.000 0.139 0.000
Li 0.000 0.861 0.500
Li 0.495 0.359 0.523
Li 0.495 0.641 0.023
Li 0.508 0.213 0.000
Li 0.508 0.787 0.500
Li 0.997 0.284 0.504
Li 0.997 0.716 0.004
V 0.004 0.427 0.962
V 0.004 0.573 0.462
V 0.500 0.052 0.501
V 0.500 0.948 0.001
O 0.189 0.448 0.657
O 0.189 0.552 0.157
O 0.289 0.052 0.174
O 0.289 0.948 0.674
O 0.708 0.054 0.829
O 0.708 0.946 0.329
O 0.779 0.319 0.848
O 0.779 0.681 0.348
F 0.223 0.307 0.159
F 0.223 0.693 0.659
F 0.287 0.194 0.658
F 0.287 0.806 0.158
F 0.716 0.191 0.342
F 0.716 0.809 0.842
F 0.782 0.435 0.323
F 0.782 0.565 0.823

=====

Record 6
This entry pairs a crystal structure of Li3VO3F2 with its simulated X-ray powder pattern. Radiation: Cu Kα, 1.54184 Å. Structure: a structure optimized by DFT (PBE+U).

Peak list (12 most intense, 2θ = 10–90°, in order of rising 2θ)
2θ (°), I_rel
18.22, 68
18.75, 81
19.08, 100
22.61, 94
24.76, 27
25.36, 64
27.09, 38
30.59, 30
42.83, 83
43.91, 75
44.08, 84
64.10, 22

Crystal structure
Lattice parameters (Å, degrees): 5.030 5.174 7.725 71.19 71.17 78.35
Positions (direct):
Li 0.000 0.000 0.000
Li 0.005 0.197 0.610
Li 0.452 0.499 0.498
Li 0.931 0.427 0.200
Li 0.943 0.640 0.803
Li 0.955 0.799 0.404
V 0.446 0.049 0.291
V 0.484 0.342 0.873
O 0.227 0.074 0.148
O 0.227 0.887 0.513
O 0.241 0.275 0.778
O 0.654 0.332 0.057
O 0.700 0.536 0.676
O 0.704 0.783 0.254
F 0.185 0.435 0.369
F 0.191 0.634 0.955
F 0.688 0.178 0.416
F 0.742 0.001 0.839

=====

Record 7
This entry pairs a crystal structure of Li2VO2F with its simulated X-ray powder pattern. Radiation: Cu Kα, 1.54184 Å. Structure: a structure optimized by DFT (PBE+U).

Peak list (12 most intense, 2θ = 10–90°, in order of rising 2θ)
2θ (°), I_rel
12.05, 100
24.23, 30
34.41, 24
36.58, 16
42.50, 55
42.61, 23
51.16, 9
61.64, 19
61.73, 10
61.84, 14
63.07, 6
77.76, 9

Crystal structure
Lattice parameters (Å, degrees): 6.017 6.017 8.995 119.97 119.97 60.05
Positions (direct):
Li 0.000 0.000 0.000
Li 0.298 0.835 0.280
Li 0.324 0.324 0.286
Li 0.507 0.507 0.982
Li 0.547 0.999 0.999
Li 0.833 0.833 0.281
Li 0.835 0.298 0.280
Li 0.999 0.547 0.999
V 0.167 0.167 0.629
V 0.168 0.657 0.631
V 0.657 0.168 0.631
V 0.669 0.669 0.641
O 0.083 0.569 0.784
O 0.257 0.257 0.480
O 0.259 0.762 0.492
O 0.569 0.083 0.784
O 0.571 0.571 0.784
O 0.762 0.259 0.492
O 0.764 0.764 0.493
O 0.918 0.918 0.140
F 0.083 0.083 0.801
F 0.416 0.416 0.136
F 0.416 0.917 0.134
F 0.917 0.416 0.134

=====

Record 8
This entry pairs a crystal structure of Li2VO2F with its simulated X-ray powder pattern. Radiation: Cu Kα, 1.54184 Å. Structure: a structure optimized by DFT (PBE+U).

Peak list (12 most intense, 2θ = 10–90°, in order of rising 2θ)
2θ (°), I_rel
12.03, 100
24.19, 29
34.39, 24
36.51, 11
36.66, 5
42.44, 52
42.63, 22
51.06, 6
61.50, 6
61.65, 22
61.76, 12
77.71, 8

Crystal structure
Lattice parameters (Å, degrees): 3.016 7.357 13.103 89.77 83.40 89.99
Positions (direct):
Li 0.000 0.000 0.000
Li 0.052 0.736 0.895
Li 0.201 0.010 0.597
Li 0.270 0.713 0.465
Li 0.404 0.027 0.200
Li 0.469 0.726 0.064
Li 0.582 0.010 0.826
Li 0.658 0.720 0.682
Li 0.806 0.029 0.399
Li 0.868 0.710 0.269
V 0.145 0.386 0.746
V 0.328 0.368 0.339
V 0.530 0.369 0.942
V 0.742 0.376 0.533
V 0.938 0.369 0.142
O 0.066 0.225 0.868
O 0.216 0.508 0.607
O 0.254 0.215 0.474
O 0.406 0.521 0.211
O 0.467 0.223 0.078
O 0.529 0.870 0.943
O 0.606 0.524 0.803
O 0.784 0.526 0.407
O 0.873 0.216 0.277
O 0.999 0.514 0.008
F 0.137 0.877 0.726
F 0.333 0.871 0.342
F 0.680 0.209 0.671
F 0.734 0.868 0.537
F 0.928 0.870 0.150

=====

Record 9
This entry pairs a crystal structure of LiV2OF5 with its simulated X-ray powder pattern. Radiation: Cu Kα, 1.54184 Å. Structure: a structure optimized by DFT (PBE+U).

Peak list (12 most intense, 2θ = 10–90°, in order of rising 2θ)
2θ (°), I_rel
20.29, 58
20.39, 17
28.12, 100
28.28, 58
28.44, 39
40.70, 45
41.06, 29
46.06, 17
53.90, 29
54.09, 15
54.41, 28
63.78, 27

Crystal structure
Lattice parameters (Å, degrees): 4.580 8.712 8.754 60.18 89.84 89.36
Positions (direct):
Li 0.000 0.000 0.000
Li 0.007 0.334 0.330
Li 0.504 0.668 0.666
V 0.014 0.334 0.670
V 0.014 0.654 0.993
V 0.484 0.018 0.673
V 0.484 0.329 0.017
V 0.517 0.679 0.317
V 0.981 0.979 0.342
O 0.235 0.447 0.094
O 0.243 0.130 0.759
O 0.763 0.872 0.243
F 0.233 0.100 0.451
F 0.238 0.101 0.126
F 0.238 0.460 0.437
F 0.249 0.772 0.107
F 0.257 0.784 0.775
F 0.264 0.772 0.450
F 0.271 0.439 0.783
F 0.729 0.898 0.560
F 0.731 0.549 0.552
F 0.734 0.554 0.886
F 0.750 0.213 0.227
F 0.755 0.234 0.553
F 0.759 0.559 0.208
F 0.762 0.230 0.893
F 0.765 0.888 0.879

=====

Record 10
This entry pairs a crystal structure of Li3V2O4F2 with its simulated X-ray powder pattern. Radiation: Cu Kα, 1.54184 Å. Structure: a structure optimized by DFT (PBE+U).

Peak list (12 most intense, 2θ = 10–90°, in order of rising 2θ)
2θ (°), I_rel
11.71, 100
23.55, 37
34.38, 10
35.11, 7
36.12, 12
39.73, 40
47.27, 7
47.90, 12
56.89, 10
60.43, 6
63.84, 7
64.00, 14

Crystal structure
Lattice parameters (Å, degrees): 5.091 6.128 7.735 89.93 77.67 89.97
Positions (direct):
Li 0.000 0.000 0.000
Li 0.000 0.499 0.000
Li 0.255 0.500 0.251
Li 0.255 0.999 0.251
Li 0.541 0.250 0.008
Li 0.713 0.750 0.243
V 0.124 0.250 0.625
V 0.127 0.750 0.625
V 0.625 0.000 0.625
V 0.625 0.499 0.625
O 0.011 0.003 0.487
O 0.011 0.496 0.488
O 0.239 0.503 0.762
O 0.240 0.996 0.762
O 0.481 0.250 0.498
O 0.484 0.749 0.482
O 0.767 0.250 0.767
O 0.770 0.749 0.751
F 0.093 0.750 0.142
F 0.162 0.250 0.108
F 0.627 0.000 0.125
F 0.627 0.500 0.125